Structure and theoretical powder X-ray diffraction pattern of Li9Cr4P4C4O28 (DFT lattice parameters and positions (GGA+U); Cu Kα (λ = 1.5418 Å)).
Peak positions follow from Bragg's law for the DFT cell and can differ from measured ones.

Top 12 peaks for 5° ≤ 2θ ≤ 70°, by angle:
- hkl 0 0 1, 10.6°, I = 77.4
- hkl 1 -1 1, 17.3°, I = 16.2
- hkl -1 1 1, 17.4°, I = 14.8
- hkl 1 1 0, 19.6°, I = 46.6
- hkl 1 1 -2, 21.4°, I = 65.7
- hkl 0 2 -2, 25.4°, I = 14.5
- hkl 2 0 -2, 25.6°, I = 15.2
- hkl 1 1 1, 26.3°, I = 32.5
- hkl 2 -2 0, 27.7°, I = 100.0
- hkl 0 0 3, 32.1°, I = 16.0
- hkl 2 2 -1, 36.2°, I = 23.9
- hkl 2 2 1, 46.0°, I = 13.8

Crystal structure
```
data_Li9Cr4P4C4O28
_cell_length_a 8.179
_cell_length_b 8.229
_cell_length_c 9.390
_cell_angle_alpha 106.55
_cell_angle_beta 105.85
_cell_angle_gamma 103.71
_symmetry_space_group_name_H-M 'P 1'
_symmetry_Int_Tables_number 1
_symmetry_space_group_name_Hall 'P 1'
loop_
_atom_site_label
_atom_site_type_symbol
_atom_site_fract_x
_atom_site_fract_y
_atom_site_fract_z
Li1 Li 0.000 0.000 0.000
Li2 Li 0.016 0.072 0.554
Li3 Li 0.064 0.345 0.373
Li4 Li 0.301 0.778 0.568
Li5 Li 0.444 0.218 0.177
Li6 Li 0.507 0.505 0.000
Li7 Li 0.563 0.847 0.385
Li8 Li 0.784 0.295 0.553
Li9 Li 0.940 0.719 0.176
Cr1 Cr 0.066 0.354 0.955
Cr2 Cr 0.442 0.230 0.606
Cr3 Cr 0.566 0.851 0.956
Cr4 Cr 0.938 0.723 0.607
P1 P 0.201 0.479 0.698
P2 P 0.305 0.095 0.862
P3 P 0.703 0.991 0.695
P4 P 0.809 0.591 0.862
C1 C 0.242 0.036 0.327
C2 C 0.257 0.549 0.234
C3 C 0.746 0.531 0.325
C4 C 0.770 0.044 0.252
O1 O 0.055 0.348 0.732
O2 O 0.107 0.577 0.597
O3 O 0.114 0.409 0.199
O4 O 0.125 0.943 0.190
O5 O 0.162 0.948 0.701
O6 O 0.212 0.188 0.970
O7 O 0.226 0.006 0.455
O8 O 0.265 0.361 0.578
O9 O 0.297 0.559 0.110
O10 O 0.346 0.666 0.374
O11 O 0.353 0.607 0.853
O12 O 0.387 0.172 0.360
O13 O 0.418 0.023 0.970
O14 O 0.422 0.239 0.818
O15 O 0.553 0.862 0.717
O16 O 0.616 0.089 0.590
O17 O 0.627 0.442 0.187
O18 O 0.630 0.915 0.231
O19 O 0.674 0.439 0.705
O20 O 0.719 0.681 0.973
O21 O 0.736 0.492 0.450
O22 O 0.788 0.886 0.583
O23 O 0.803 0.063 0.129
O24 O 0.852 0.121 0.856
O25 O 0.879 0.158 0.396
O26 O 0.887 0.674 0.361
O27 O 0.924 0.738 0.820
O28 O 0.932 0.525 0.973
```

---

Structure and theoretical powder X-ray diffraction pattern of Li3CrPCO7 (DFT lattice parameters and positions (GGA+U); Cu Kα (λ = 1.5418 Å)).
Peak positions follow from Bragg's law for the DFT cell and can differ from measured ones.

Top 12 peaks for 5° ≤ 2θ ≤ 70°, by angle:
- hkl 0 1 0, 10.2°, I = 88.7
- hkl 0 1 -2, 19.8°, I = 20.9
- hkl 0 1 2, 21.3°, I = 34.9
- hkl 1 1 2, 25.5°, I = 34.4
- hkl 0 2 -2, 26.1°, I = 35.4
- hkl 2 0 0, 27.5°, I = 100.0
- hkl 0 3 0, 31.0°, I = 22.5
- hkl 0 3 -2, 34.5°, I = 37.2
- hkl 0 0 4, 36.0°, I = 21.8
- hkl 0 1 -4, 36.6°, I = 32.8
- hkl -1 3 2, 39.8°, I = 21.2
- hkl 4 0 0, 56.9°, I = 20.2

Crystal structure
```
data_Li3CrPCO7
_cell_length_a 6.476
_cell_length_b 8.695
_cell_length_c 10.015
_cell_angle_alpha 94.91
_cell_angle_beta 90.27
_cell_angle_gamma 90.27
_symmetry_space_group_name_H-M 'P 1'
_symmetry_Int_Tables_number 1
_symmetry_space_group_name_Hall 'P 1'
loop_
_atom_site_label
_atom_site_type_symbol
_atom_site_fract_x
_atom_site_fract_y
_atom_site_fract_z
Li1 Li 0.000 0.000 0.000
Li2 Li 0.001 0.014 0.476
Li3 Li 0.007 0.551 0.249
Li4 Li 0.217 0.178 0.245
Li5 Li 0.223 0.173 0.747
Li6 Li 0.272 0.626 0.017
Li7 Li 0.275 0.608 0.489
Li8 Li 0.484 0.789 0.257
Li9 Li 0.498 0.785 0.766
Li10 Li 0.730 0.629 0.021
Li11 Li 0.774 0.176 0.748
Li12 Li 0.776 0.176 0.245
Cr1 Cr 0.493 0.235 0.475
Cr2 Cr 0.498 0.234 0.980
Cr3 Cr 0.778 0.654 0.490
Cr4 Cr 0.996 0.565 0.782
P1 P 0.493 0.487 0.740
P2 P 0.497 0.488 0.239
P3 P 0.996 0.313 0.515
P4 P 0.998 0.310 0.016
C1 C 0.499 0.932 0.022
C2 C 0.505 0.934 0.522
C3 C 0.990 0.869 0.724
C4 C 0.993 0.859 0.230
O1 O 0.000 0.853 0.849
O2 O 0.003 0.480 0.470
O3 O 0.180 0.215 0.455
O4 O 0.184 0.212 0.959
O5 O 0.310 0.586 0.290
O6 O 0.310 0.587 0.800
O7 O 0.484 0.479 0.585
O8 O 0.489 0.053 0.609
O9 O 0.494 0.321 0.784
O10 O 0.495 0.321 0.283
O11 O 0.498 0.794 0.063
O12 O 0.499 0.954 0.897
O13 O 0.500 0.052 0.111
O14 O 0.500 0.950 0.396
O15 O 0.505 0.479 0.084
O16 O 0.528 0.796 0.566
O17 O 0.682 0.584 0.796
O18 O 0.690 0.582 0.295
O19 O 0.807 0.217 0.457
O20 O 0.812 0.212 0.957
O21 O 0.985 0.739 0.642
O22 O 0.988 0.000 0.675
O23 O 0.988 0.832 0.355
O24 O 0.994 0.748 0.136
O25 O 0.998 0.004 0.199
O26 O 0.998 0.317 0.670
O27 O 0.998 0.321 0.171
O28 O 0.999 0.476 0.971
```

---

Structure and theoretical powder X-ray diffraction pattern of Li3CrPCO7 (DFT lattice parameters and positions (GGA+U); Cu Kα (λ = 1.5418 Å)).
Peak positions follow from Bragg's law for the DFT cell and can differ from measured ones.

Top 12 peaks for 5° ≤ 2θ ≤ 70°, by angle:
- hkl 1 0 0, 10.4°, I = 35.5
- hkl 1 1 -1, 17.4°, I = 97.7
- hkl 1 1 1, 22.1°, I = 59.0
- hkl 0 1 2, 24.2°, I = 43.3
- hkl 2 1 0, 25.0°, I = 30.5
- hkl 2 1 -2, 25.6°, I = 57.2
- hkl 0 2 2, 34.2°, I = 22.5
- hkl 2 2 0, 34.8°, I = 100.0
- hkl 2 0 2, 34.9°, I = 32.8
- hkl 2 0 -4, 36.1°, I = 26.9
- hkl 4 2 0, 51.3°, I = 28.9
- hkl 4 2 -4, 52.5°, I = 23.7

Crystal structure
```
data_Li3CrPCO7
_cell_length_a 9.512
_cell_length_b 6.476
_cell_length_c 9.982
_cell_angle_alpha 90.00
_cell_angle_beta 116.29
_cell_angle_gamma 90.00
_symmetry_space_group_name_H-M 'P 1 21/c 1'
_symmetry_Int_Tables_number 14
_symmetry_space_group_name_Hall '-P 2ybc'
loop_
_atom_site_label
_atom_site_type_symbol
_atom_site_fract_x
_atom_site_fract_y
_atom_site_fract_z
Li1 Li 0.110 0.242 0.441
Li2 Li 0.295 0.022 0.763
Li3 Li 0.356 0.744 0.066
Cr1 Cr 0.259 0.514 0.753
P1 P 0.411 0.249 0.067
C1 C 0.038 0.747 0.372
O1 O 0.063 0.743 0.509
O2 O 0.106 0.230 0.237
O3 O 0.152 0.735 0.835
O4 O 0.313 0.062 0.570
O5 O 0.315 0.059 0.077
O6 O 0.421 0.749 0.299
O7 O 0.426 0.239 0.919
```

---

Structure and theoretical powder X-ray diffraction pattern of Li5Cr2P2C2O14 (DFT lattice parameters and positions (GGA+U); Cu Kα (λ = 1.5418 Å)).
Peak positions follow from Bragg's law for the DFT cell and can differ from measured ones.

Top 12 peaks for 5° ≤ 2θ ≤ 70°, by angle:
- hkl 0 0 1, 10.3°, I = 100.0
- hkl 0 1 1, 17.7°, I = 21.7
- hkl 1 0 -1, 19.7°, I = 33.6
- hkl 1 0 1, 21.1°, I = 44.0
- hkl 1 -1 1, 24.6°, I = 14.7
- hkl 1 1 1, 26.0°, I = 14.4
- hkl 1 0 -2, 26.2°, I = 35.5
- hkl 0 2 0, 27.8°, I = 83.3
- hkl 1 0 2, 28.4°, I = 13.3
- hkl 0 2 -2, 34.1°, I = 14.3
- hkl 2 0 0, 35.5°, I = 15.3
- hkl 2 0 -1, 36.3°, I = 23.0

Crystal structure
```
data_Li5Cr2P2C2O14
_cell_length_a 5.072
_cell_length_b 6.437
_cell_length_c 8.593
_cell_angle_alpha 92.70
_cell_angle_beta 94.30
_cell_angle_gamma 92.31
_symmetry_space_group_name_H-M 'P 1'
_symmetry_Int_Tables_number 1
_symmetry_space_group_name_Hall 'P 1'
loop_
_atom_site_label
_atom_site_type_symbol
_atom_site_fract_x
_atom_site_fract_y
_atom_site_fract_z
Li1 Li 0.000 0.000 0.000
Li2 Li 0.016 0.517 0.936
Li3 Li 0.407 0.435 0.468
Li4 Li 0.537 0.714 0.103
Li5 Li 0.558 0.949 0.434
Cr1 Cr 0.565 0.217 0.876
Cr2 Cr 0.975 0.706 0.554
P1 P 0.044 0.212 0.635
P2 P 0.489 0.707 0.795
C1 C 0.062 0.732 0.246
C2 C 0.496 0.210 0.158
O1 O 0.146 0.740 0.107
O2 O 0.186 0.700 0.791
O3 O 0.236 0.718 0.366
O4 O 0.301 0.216 0.046
O5 O 0.352 0.203 0.667
O6 O 0.459 0.200 0.301
O7 O 0.581 0.684 0.629
O8 O 0.601 0.533 0.903
O9 O 0.608 0.907 0.891
O10 O 0.730 0.215 0.102
O11 O 0.814 0.739 0.267
O12 O 0.922 0.015 0.546
O13 O 0.928 0.240 0.798
O14 O 0.992 0.394 0.529
```